(1)
Calculated PXRD pattern of Ho5MgFe2 for Cu Ka, from the PBE geometry in Alexandria.
Peak positions follow from Bragg's law for the DFT cell and can differ from measured ones.

Most intense lines, 2θ from 10° to 90°, in order of rising 2θ:
Position (°2θ), I_rel
13.12, 16.9
26.71, 59.3
31.19, 20.4
32.76, 100.0
35.38, 46.4
36.93, 51.5
42.56, 21.3
49.28, 16.1
53.12, 14.8
54.55, 15.0
57.69, 27.4
67.55, 15.5

Structural model:
```
Ho5MgFe2
1.0
-3.8483 3.8483 6.7493
3.8483 -3.8483 6.7493
3.8483 3.8483 -6.7493
Ho Mg Fe
10 2 4
Cartesian
0.0000 0.0000 0.0000
5.1160 1.2677 -1.8058
1.2677 2.5807 -1.8058
5.1160 1.2677 1.8058
1.2677 2.5807 1.8058
0.0000 0.0000 6.7493
2.5807 1.2677 4.9435
-1.2677 2.5807 4.9435
2.5807 1.2677 8.5550
-1.2677 2.5807 8.5550
0.0000 0.0000 3.3746
0.0000 0.0000 10.1239
2.9734 0.8750 0.0000
2.9734 -0.8750 6.7493
0.8750 4.7233 0.0000
0.8750 2.9734 6.7493
```


(2)
Calculated PXRD pattern of Rb2CaErBr6 for Cu Ka, from the PBE geometry in Alexandria.
Peak positions follow from Bragg's law for the DFT cell and can differ from measured ones.

Most intense lines, 2θ from 10° to 90°, in order of rising 2θ:
Position (°2θ), I_rel
13.48, 22.0
15.58, 29.1
22.11, 29.9
27.16, 54.5
31.46, 100.0
35.29, 15.0
38.79, 13.8
45.09, 72.0
53.44, 23.4
56.02, 24.9
74.62, 26.5
83.20, 16.1

Structural model:
```
Rb2CaErBr6
1.0
-4.0177 4.0237 5.6883
4.0177 -4.0237 5.6883
4.0177 4.0237 -5.6883
Rb Ca Er Br
2 1 1 6
Cartesian
0.0000 0.0000 2.8471
0.0000 0.0000 8.5295
0.0000 4.0237 0.0000
4.0177 0.0000 0.0000
2.0363 1.9823 0.0000
4.0177 0.0000 2.8040
5.9991 1.9823 0.0000
-1.9814 2.0415 5.6883
0.0000 4.0237 2.8843
1.9814 2.0415 5.6883
```